Theoretical PXRD pattern
Compound: CuRh2O4
Radiation: λ = 1.5418 Å (Cu Kα)
Structure: a PBE-relaxed structure
Intensities are scaled so that the largest is 100.

Top 12 peaks for 5° ≤ 2θ ≤ 70°, low angle first:
17.8 deg, 4.975 Å, I = 48; 29.6 deg, 3.023 Å, I = 16; 34.1 deg, 2.628 Å, I = 100; 35.3 deg, 2.541 Å, I = 51; 36.1 deg, 2.487 Å, I = 42; 41.3 deg, 2.188 Å, I = 27; 43.3 deg, 2.090 Å, I = 12; 54.6 deg, 1.682 Å, I = 32; 55.4 deg, 1.658 Å, I = 10; 57.1 deg, 1.614 Å, I = 13; 59.8 deg, 1.547 Å, I = 23; 61.3 deg, 1.511 Å, I = 43

Cell and atoms:
Lattice parameters (Å, degrees): 6.0522 6.0522 6.0522 118.49 118.49 92.64
Element x y z (fractional)
Cu 0.3750 0.6250 0.7500
Cu 0.6250 0.3750 0.2500
Rh 0.0000 0.0000 0.0000
Rh 0.0000 0.0000 0.5000
Rh 0.0000 0.5000 0.0000
Rh 0.5000 0.0000 0.5000
O 0.2183 0.2470 0.9713
O 0.2243 0.7530 0.4713
O 0.2470 0.2183 0.4713
O 0.2470 0.7757 0.0287
O 0.7530 0.2243 0.9713
O 0.7530 0.7817 0.5287
O 0.7757 0.2470 0.5287
O 0.7817 0.7530 0.0287

***

Theoretical PXRD pattern
Compound: SmIO
Radiation: λ = 1.5418 Å (Cu Kα)
Structure: a PBE-relaxed structure
Intensities are scaled so that the largest is 100.

Top 12 peaks for 5° ≤ 2θ ≤ 70°, low angle first:
8.1 deg, 10.975 Å, I = 27; 16.2 deg, 5.488 Å, I = 9; 26.1 deg, 3.410 Å, I = 26; 29.0 deg, 3.081 Å, I = 100; 32.0 deg, 2.801 Å, I = 28; 32.6 deg, 2.744 Å, I = 18; 37.6 deg, 2.394 Å, I = 31; 45.0 deg, 2.013 Å, I = 39; 54.2 deg, 1.693 Å, I = 15; 54.5 deg, 1.685 Å, I = 17; 56.7 deg, 1.623 Å, I = 22; 62.6 deg, 1.483 Å, I = 8

Cell and atoms:
Lattice parameters (Å, degrees): 11.2188 11.2188 11.2188 20.67 20.67 20.67
Element x y z (fractional)
Sm 0.2106 0.2106 0.2106
Sm 0.7894 0.7894 0.7894
I 0.3888 0.3888 0.3888
I 0.6112 0.6112 0.6112
O 0.1399 0.1399 0.1399
O 0.8601 0.8601 0.8601

***

Theoretical PXRD pattern
Compound: K3Li
Radiation: λ = 1.5418 Å (Cu Kα)
Structure: a PBE-relaxed structure
Intensities are scaled so that the largest is 100.

Top 12 peaks for 5° ≤ 2θ ≤ 70°, low angle first:
15.8 deg, 5.596 Å, I = 18; 18.3 deg, 4.846 Å, I = 9; 26.0 deg, 3.427 Å, I = 100; 30.6 deg, 2.923 Å, I = 10; 37.1 deg, 2.423 Å, I = 18; 40.6 deg, 2.224 Å, I = 4; 41.7 deg, 2.167 Å, I = 4; 45.9 deg, 1.979 Å, I = 36; 48.8 deg, 1.865 Å, I = 3; 53.5 deg, 1.713 Å, I = 11; 60.4 deg, 1.533 Å, I = 15; 66.9 deg, 1.399 Å, I = 3

Cell and atoms:
Lattice parameters (Å, degrees): 9.6930 9.6930 9.6930 90.00 90.00 90.00
Element x y z (fractional)
K 0.0000 0.0000 0.0000
K 0.0000 0.5000 0.5000
K 0.2500 0.2500 0.2500
K 0.2500 0.2500 0.7500
K 0.2500 0.7500 0.2500
K 0.2500 0.7500 0.7500
K 0.5000 0.0000 0.5000
K 0.5000 0.5000 0.0000
K 0.7500 0.2500 0.2500
K 0.7500 0.2500 0.7500
K 0.7500 0.7500 0.2500
K 0.7500 0.7500 0.7500
Li 0.0000 0.0000 0.5000
Li 0.0000 0.5000 0.0000
Li 0.5000 0.0000 0.0000
Li 0.5000 0.5000 0.5000

***

Theoretical PXRD pattern
Compound: Zn2IrN3
Radiation: λ = 1.5418 Å (Cu Kα)
Structure: a PBE-relaxed structure
Intensities are scaled so that the largest is 100.

Top 12 peaks for 5° ≤ 2θ ≤ 70°, low angle first:
17.8 deg, 4.976 Å, I = 23; 24.6 deg, 3.625 Å, I = 45; 31.3 deg, 2.862 Å, I = 22; 31.6 deg, 2.828 Å, I = 24; 33.4 deg, 2.683 Å, I = 40; 35.6 deg, 2.525 Å, I = 100; 35.9 deg, 2.502 Å, I = 29; 46.7 deg, 1.946 Å, I = 14; 55.4 deg, 1.659 Å, I = 12; 56.1 deg, 1.639 Å, I = 19; 61.1 deg, 1.517 Å, I = 27; 66.9 deg, 1.399 Å, I = 18

Cell and atoms:
Lattice parameters (Å, degrees): 5.7236 5.7236 5.3658 90.00 90.00 59.21
Element x y z (fractional)
Zn 0.0028 0.6598 0.5000
Zn 0.3402 0.9972 0.5000
Zn 0.6598 0.0028 0.0000
Zn 0.9972 0.3402 0.0000
Ir 0.3058 0.6942 0.0114
Ir 0.6942 0.3058 0.5114
N 0.0072 0.6713 0.8784
N 0.3287 0.9928 0.8784
N 0.3712 0.6288 0.3643
N 0.6288 0.3712 0.8643
N 0.6713 0.0072 0.3784
N 0.9928 0.3287 0.3784

***

Theoretical PXRD pattern
Compound: Ba3AlO4
Radiation: λ = 1.5418 Å (Cu Kα)
Structure: a PBE-relaxed structure
Intensities are scaled so that the largest is 100.

Top 12 peaks for 5° ≤ 2θ ≤ 70°, low angle first:
25.6 deg, 3.477 Å, I = 53; 26.1 deg, 3.418 Å, I = 62; 27.3 deg, 3.269 Å, I = 46; 27.9 deg, 3.199 Å, I = 100; 29.9 deg, 2.986 Å, I = 46; 33.7 deg, 2.663 Å, I = 47; 35.5 deg, 2.530 Å, I = 16; 35.9 deg, 2.503 Å, I = 25; 40.3 deg, 2.239 Å, I = 16; 43.7 deg, 2.071 Å, I = 21; 46.3 deg, 1.961 Å, I = 28; 54.5 deg, 1.683 Å, I = 26

Cell and atoms:
Lattice parameters (Å, degrees): 10.6463 8.2827 7.3563 90.00 90.00 90.00
Element x y z (fractional)
Ba 0.0371 0.2500 0.0956
Ba 0.1640 0.0262 0.6022
Ba 0.1640 0.4738 0.6022
Ba 0.3360 0.5262 0.1022
Ba 0.3360 0.9738 0.1022
Ba 0.4629 0.7500 0.5956
Ba 0.5371 0.2500 0.4044
Ba 0.6640 0.0262 0.8978
Ba 0.6640 0.4738 0.8978
Ba 0.8360 0.5262 0.3978
Ba 0.8360 0.9738 0.3978
Ba 0.9629 0.7500 0.9044
Al 0.1039 0.7500 0.3111
Al 0.3961 0.2500 0.8111
Al 0.6039 0.7500 0.1889
Al 0.8961 0.2500 0.6889
O 0.0123 0.7500 0.5170
O 0.0721 0.5662 0.1955
O 0.0721 0.9338 0.1955
O 0.2329 0.2500 0.8722
O 0.2671 0.7500 0.3722
O 0.4279 0.0662 0.6955
O 0.4279 0.4338 0.6955
O 0.4877 0.2500 0.0170
O 0.5123 0.7500 0.9830
O 0.5721 0.5662 0.3045
O 0.5721 0.9338 0.3045
O 0.7329 0.2500 0.6278
O 0.7671 0.7500 0.1278
O 0.9279 0.0662 0.8045
O 0.9279 0.4338 0.8045
O 0.9877 0.2500 0.4830

***

Theoretical PXRD pattern
Compound: SrCeMg14
Radiation: λ = 1.5418 Å (Cu Kα)
Structure: a PBE-relaxed structure
Intensities are scaled so that the largest is 100.

Top 12 peaks for 5° ≤ 2θ ≤ 70°, low angle first:
15.2 deg, 5.818 Å, I = 40; 22.8 deg, 3.901 Å, I = 39; 26.5 deg, 3.359 Å, I = 12; 30.7 deg, 2.909 Å, I = 30; 31.6 deg, 2.831 Å, I = 15; 34.1 deg, 2.629 Å, I = 24; 35.3 deg, 2.546 Å, I = 100; 46.6 deg, 1.951 Å, I = 18; 54.7 deg, 1.679 Å, I = 21; 61.8 deg, 1.501 Å, I = 19; 66.0 deg, 1.415 Å, I = 19; 66.7 deg, 1.402 Å, I = 14

Cell and atoms:
Lattice parameters (Å, degrees): 6.7184 6.7184 10.5167 90.00 90.00 120.00
Element x y z (fractional)
Sr 0.0000 0.0000 0.0000
Ce 0.0000 0.0000 0.5000
Mg 0.0097 0.5049 0.5000
Mg 0.0105 0.5053 0.0000
Mg 0.1742 0.3485 0.2546
Mg 0.1742 0.3485 0.7454
Mg 0.1742 0.8258 0.2546
Mg 0.1742 0.8258 0.7454
Mg 0.4947 0.5053 0.0000
Mg 0.4951 0.5049 0.5000
Mg 0.4947 0.9895 0.0000
Mg 0.4951 0.9903 0.5000
Mg 0.6515 0.8258 0.2546
Mg 0.6515 0.8258 0.7454
Mg 0.6667 0.3333 0.2524
Mg 0.6667 0.3333 0.7476

***

Theoretical PXRD pattern
Compound: Rb2CeAgF6
Radiation: λ = 1.5418 Å (Cu Kα)
Structure: a PBE-relaxed structure
Intensities are scaled so that the largest is 100.

Top 10 peaks for 5° ≤ 2θ ≤ 70°, low angle first:
16.2 deg, 5.473 Å, I = 2; 18.7 deg, 4.739 Å, I = 11; 26.6 deg, 3.351 Å, I = 100; 38.0 deg, 2.370 Å, I = 38; 42.7 deg, 2.120 Å, I = 5; 47.0 deg, 1.935 Å, I = 42; 54.8 deg, 1.676 Å, I = 24; 58.4 deg, 1.580 Å, I = 2; 61.9 deg, 1.499 Å, I = 19; 68.6 deg, 1.368 Å, I = 8

Cell and atoms:
Lattice parameters (Å, degrees): 6.7026 6.7026 6.7026 60.00 60.00 60.00
Element x y z (fractional)
Rb 0.2500 0.2500 0.2500
Rb 0.7500 0.7500 0.7500
Ce 0.0000 0.0000 0.0000
Ag 0.5000 0.5000 0.5000
F 0.2408 0.2408 0.7592
F 0.2408 0.7592 0.2408
F 0.2408 0.7592 0.7592
F 0.7592 0.2408 0.2408
F 0.7592 0.2408 0.7592
F 0.7592 0.7592 0.2408

***

Theoretical PXRD pattern
Compound: Li2ZnGe
Radiation: λ = 1.5418 Å (Cu Kα)
Structure: a PBE-relaxed structure
Intensities are scaled so that the largest is 100.

Top 5 peaks for 5° ≤ 2θ ≤ 70°, low angle first:
28.9 deg, 3.087 Å, I = 100; 41.4 deg, 2.183 Å, I = 100; 51.3 deg, 1.782 Å, I = 26; 59.9 deg, 1.544 Å, I = 16; 67.9 deg, 1.381 Å, I = 33

Cell and atoms:
Lattice parameters (Å, degrees): 6.1745 6.1745 6.1745 90.00 90.00 90.00
Element x y z (fractional)
Li 0.2500 0.2500 0.2500
Li 0.2500 0.2500 0.7500
Li 0.2500 0.7500 0.2500
Li 0.2500 0.7500 0.7500
Li 0.7500 0.2500 0.2500
Li 0.7500 0.2500 0.7500
Li 0.7500 0.7500 0.2500
Li 0.7500 0.7500 0.7500
Zn 0.0000 0.0000 0.0000
Zn 0.0000 0.5000 0.5000
Zn 0.5000 0.0000 0.5000
Zn 0.5000 0.5000 0.0000
Ge 0.0000 0.0000 0.5000
Ge 0.0000 0.5000 0.0000
Ge 0.5000 0.0000 0.0000
Ge 0.5000 0.5000 0.5000

***

Theoretical PXRD pattern
Compound: Rb3Co
Radiation: λ = 1.5418 Å (Cu Kα)
Structure: a PBE-relaxed structure
Intensities are scaled so that the largest is 100.

Top 8 peaks for 5° ≤ 2θ ≤ 70°, low angle first:
16.5 deg, 5.369 Å, I = 1; 19.1 deg, 4.650 Å, I = 1; 27.1 deg, 3.288 Å, I = 100; 31.9 deg, 2.804 Å, I = 1; 38.7 deg, 2.325 Å, I = 19; 47.9 deg, 1.898 Å, I = 40; 55.9 deg, 1.644 Å, I = 13; 63.2 deg, 1.470 Å, I = 17

Cell and atoms:
Lattice parameters (Å, degrees): 9.2991 9.2991 9.2991 90.00 90.00 90.00
Element x y z (fractional)
Rb 0.0000 0.0000 0.0000
Rb 0.0000 0.5000 0.5000
Rb 0.2500 0.2500 0.2500
Rb 0.2500 0.2500 0.7500
Rb 0.2500 0.7500 0.2500
Rb 0.2500 0.7500 0.7500
Rb 0.5000 0.0000 0.5000
Rb 0.5000 0.5000 0.0000
Rb 0.7500 0.2500 0.2500
Rb 0.7500 0.2500 0.7500
Rb 0.7500 0.7500 0.2500
Rb 0.7500 0.7500 0.7500
Co 0.0000 0.0000 0.5000
Co 0.0000 0.5000 0.0000
Co 0.5000 0.0000 0.0000
Co 0.5000 0.5000 0.5000

***

Theoretical PXRD pattern
Compound: Hf2Ga3
Radiation: λ = 1.5418 Å (Cu Kα)
Structure: a PBE-relaxed structure
Intensities are scaled so that the largest is 100.

Top 12 peaks for 5° ≤ 2θ ≤ 70°, low angle first:
27.1 deg, 3.291 Å, I = 24; 32.4 deg, 2.767 Å, I = 32; 33.4 deg, 2.682 Å, I = 46; 35.1 deg, 2.557 Å, I = 38; 37.8 deg, 2.382 Å, I = 47; 38.0 deg, 2.369 Å, I = 100; 38.4 deg, 2.344 Å, I = 51; 40.1 deg, 2.249 Å, I = 52; 40.4 deg, 2.232 Å, I = 44; 50.6 deg, 1.805 Å, I = 18; 54.7 deg, 1.678 Å, I = 15; 58.1 deg, 1.588 Å, I = 33

Cell and atoms:
Lattice parameters (Å, degrees): 7.3641 5.4703 8.3031 60.57 40.31 79.12
Element x y z (fractional)
Hf 0.2347 0.7653 0.3699
Hf 0.6199 0.8801 0.4847
Hf 0.7653 0.2347 0.6301
Hf 0.8801 0.6199 0.0153
Ga 0.1721 0.8046 0.0571
Ga 0.1929 0.2838 0.0779
Ga 0.2838 0.1929 0.4454
Ga 0.3728 0.3728 0.6272
Ga 0.6228 0.6228 0.8772
Ga 0.8046 0.1721 0.9662